Diffraction record for ErCo5P3. The powder diffraction line list is computed, not measured: it uses a structure optimized by DFT (GGA-PBE) and Cu Kα (weighted mean of Kα1 and Kα2).

Most intense lines, 10° ≤ 2θ ≤ 80°, low angle first:
3.286 Å, 27.14 deg, I 21, hkl 1 1 1
2.953 Å, 30.27 deg, I 15, hkl 2 0 3
2.505 Å, 35.85 deg, I 15, hkl 1 0 4
2.490 Å, 36.07 deg, I 12, hkl 0 1 3
2.360 Å, 38.13 deg, I 19, hkl 3 1 2
2.291 Å, 39.33 deg, I 100, hkl 2 1 3
2.279 Å, 39.55 deg, I 69, hkl 4 1 0
2.223 Å, 40.58 deg, I 27, hkl 4 0 3
1.816 Å, 50.24 deg, I 34, hkl 0 2 0
1.710 Å, 53.60 deg, I 11, hkl 0 0 6
1.694 Å, 54.15 deg, I 23, hkl 6 0 3
1.239 Å, 76.98 deg, I 15, hkl 6 2 3

Crystal structure
a = 11.6993 Å, b = 3.6323 Å, c = 10.2583 Å
α = 90.00°, β = 90.00°, γ = 90.00°
Space group Pnma (No. 62)
Inequivalent atoms, fractional coordinates:
Er 0.2027 0.2500 0.0828
Co 0.0080 0.7500 0.7170
Co 0.0126 0.7500 0.0929
Co 0.0684 0.7500 0.4677
Co 0.1762 0.2500 0.7788
Co 0.1987 0.2500 0.3829
P 0.1091 0.7500 0.8987
P 0.1126 0.2500 0.5816
P 0.1301 0.7500 0.2701

***

Diffraction record for LaCe3B24. The powder diffraction line list is computed, not measured: it uses a structure optimized by DFT (GGA-PBE) and Cu Kα (weighted mean of Kα1 and Kα2).

Most intense lines, 10° ≤ 2θ ≤ 80°, low angle first:
4.126 Å, 21.54 deg, I 64, hkl 1 0 0
2.917 Å, 30.64 deg, I 100, hkl 1 1 0
2.382 Å, 37.77 deg, I 42, hkl 1 1 4
2.063 Å, 43.89 deg, I 22, hkl 2 0 0
1.845 Å, 49.39 deg, I 49, hkl 2 1 0
1.684 Å, 54.48 deg, I 27, hkl 2 1 4
1.459 Å, 63.81 deg, I 10, hkl 2 2 0
1.375 Å, 68.19 deg, I 28, hkl 2 2 4
1.305 Å, 72.44 deg, I 20, hkl 3 1 0
1.244 Å, 76.59 deg, I 13, hkl 3 1 4

Crystal structure
a = 4.1254 Å, b = 4.1254 Å, c = 16.5075 Å
α = 90.00°, β = 90.00°, γ = 90.00°
Space group P4/mmm (No. 123)
Inequivalent atoms, fractional coordinates:
La 0.0000 0.0000 0.0000
Ce 0.0000 0.0000 0.2522
Ce 0.0000 0.0000 0.5000
B 0.1991 0.5000 0.1260
B 0.1986 0.5000 0.3754
B 0.5000 0.5000 0.0502
B 0.5000 0.5000 0.2010
B 0.5000 0.5000 0.3001
B 0.5000 0.5000 0.4505

***

Diffraction record for Tb3TlPb. The powder diffraction line list is computed, not measured: it uses a structure optimized by DFT (GGA-PBE) and Cu Kα (weighted mean of Kα1 and Kα2).

Most intense lines, 10° ≤ 2θ ≤ 80°, low angle first:
3.497 Å, 25.47 deg, I 69, hkl 3 1 1
2.888 Å, 30.97 deg, I 100, hkl 0 4 0
2.827 Å, 31.65 deg, I 40, hkl 1 3 2
2.793 Å, 32.05 deg, I 20, hkl 1 1 -3
2.742 Å, 32.66 deg, I 56, hkl 0 4 1
2.654 Å, 33.77 deg, I 59, hkl 3 3 -1
2.636 Å, 34.01 deg, I 91, hkl 0 2 3
2.563 Å, 35.01 deg, I 46, hkl 4 2 1
2.499 Å, 35.94 deg, I 50, hkl 4 0 -2
2.030 Å, 44.63 deg, I 28, hkl 4 4 -1
1.859 Å, 48.99 deg, I 23, hkl 6 2 1
1.825 Å, 49.98 deg, I 23, hkl 3 5 2

Crystal structure
a = 12.0866 Å, b = 11.5293 Å, c = 8.8916 Å
α = 90.00°, β = 90.01°, γ = 90.00°
Space group C2/c (No. 15)
Inequivalent atoms, fractional coordinates:
Tb 0.0964 0.1055 0.4195
Tb 0.0972 0.3949 0.5804
Tb 0.2501 0.1751 0.8140
Tl 0.2492 0.0573 0.1308
Pb 0.0000 0.1488 0.7500
Pb 0.0000 0.3522 0.2500

***

Diffraction record for Ca2La6Tc. The powder diffraction line list is computed, not measured: it uses a structure optimized by DFT (GGA-PBE) and Cu Kα (weighted mean of Kα1 and Kα2).

Most intense lines, 10° ≤ 2θ ≤ 80°, low angle first:
7.928 Å, 11.16 deg, I 82, hkl 1 0 -1
3.495 Å, 25.48 deg, I 29, hkl 0 1 1
3.413 Å, 26.11 deg, I 30, hkl 1 1 -1
3.052 Å, 29.26 deg, I 82, hkl 0 0 3
3.040 Å, 29.38 deg, I 23, hkl 3 0 0
2.967 Å, 30.11 deg, I 23, hkl 1 1 -2
2.913 Å, 30.69 deg, I 100, hkl 2 1 0
2.618 Å, 34.25 deg, I 24, hkl 2 1 1
2.376 Å, 37.87 deg, I 23, hkl 2 1 -3
1.914 Å, 47.51 deg, I 41, hkl 2 1 3
1.891 Å, 48.12 deg, I 19, hkl 0 2 0
1.607 Å, 57.33 deg, I 31, hkl 0 2 3

Crystal structure
a = 9.6801 Å, b = 3.7818 Å, c = 9.7262 Å
α = 90.00°, β = 109.59°, γ = 90.00°
Space group P2/m (No. 10)
Inequivalent atoms, fractional coordinates:
Ca 0.2116 0.0000 0.3619
La 0.1248 0.5000 0.6607
La 0.2531 0.0000 0.9857
La 0.4670 0.5000 0.7158
Tc 0.5000 0.5000 0.0000

***

Diffraction record for Na2Zn12Ag5. The powder diffraction line list is computed, not measured: it uses a structure optimized by DFT (GGA-PBE) and Cu Kα (weighted mean of Kα1 and Kα2).

Most intense lines, 10° ≤ 2θ ≤ 80°, low angle first:
6.898 Å, 12.83 deg, I 53, hkl 1 0 1
4.647 Å, 19.10 deg, I 16, hkl 1 1 0
4.462 Å, 19.90 deg, I 18, hkl 0 0 3
2.683 Å, 33.40 deg, I 19, hkl 3 0 0
2.324 Å, 38.75 deg, I 54, hkl 2 2 0
2.299 Å, 39.18 deg, I 53, hkl 0 3 3
2.230 Å, 40.45 deg, I 50, hkl 0 0 6
2.061 Å, 43.93 deg, I 100, hkl 2 2 3
2.011 Å, 45.08 deg, I 32, hkl 1 1 6
1.380 Å, 67.92 deg, I 14, hkl 4 1 6
1.342 Å, 70.15 deg, I 20, hkl 6 0 0
1.301 Å, 72.69 deg, I 15, hkl 0 3 9

Crystal structure
a = 9.2946 Å, b = 9.2946 Å, c = 13.3860 Å
α = 90.00°, β = 90.00°, γ = 120.00°
Space group R-3m (No. 166, hexagonal axes)
Inequivalent atoms, fractional coordinates:
Na 0.0000 0.0000 0.1601
Zn 0.0000 0.3034 0.5000
Zn 0.0098 0.5049 0.6520
Ag 0.0000 0.0000 0.3963
Ag 0.0000 0.5000 0.0000